This entry pairs a crystal structure of ZrTiPd with its theoretical X-ray diffraction stick pattern. Radiation: Cu Kα X-rays. Structure: a DFT-relaxed cell (PBE, the Materials Project).
Peak positions follow from Bragg's law for the DFT cell and can differ from measured ones.

Largest 12 diffraction maxima, by angle, 2θ = 10–90°:
Position (°2θ)  d_spacing  intensity
10.17  8.699  27
33.38  2.685  62
36.38  2.470  58
36.59  2.456  49
38.84  2.318  79
39.45  2.284  100
39.62  2.275  74
40.41  2.232  25
41.52  2.175  26
62.89  1.478  25
66.84  1.400  27
68.46  1.370  23

Structural model:
```
data_ZrTiPd
_space_group_name_H-M_alt 'A m m 2'
_space_group_IT_number 38
_cell_length_a 8.699
_cell_length_b 5.480
_cell_length_c 9.238
_cell_angle_alpha 90.00
_cell_angle_beta 90.00
_cell_angle_gamma 90.00
loop_
_space_group_symop_operation_xyz
'x,y,z'
'-x,-y,z'
'-x,y,z'
'x,-y,z'
'x,y+1/2,z+1/2'
'-x,-y+1/2,z+1/2'
'-x,y+1/2,z+1/2'
'x,-y+1/2,z+1/2'
loop_
_atom_site_label
_atom_site_type_symbol
_atom_site_fract_x
_atom_site_fract_y
_atom_site_fract_z
Zr1 Zr 0.187 0.000 0.000
Zr2 Zr 0.309 0.000 0.336
Ti1 Ti 0.000 0.000 0.522
Ti2 Ti 0.500 0.000 0.848
Ti3 Ti 0.500 0.242 0.086
Pd1 Pd 0.000 0.243 0.275
Pd2 Pd 0.254 0.000 0.670
```

***

This entry pairs a crystal structure of Tl9Pd13 with its theoretical X-ray diffraction stick pattern. Radiation: Cu Kα X-rays. Structure: a DFT-relaxed cell (PBE, the Materials Project).
Peak positions follow from Bragg's law for the DFT cell and can differ from measured ones.

Largest 12 diffraction maxima, by angle, 2θ = 10–90°:
Position (°2θ)  d_spacing  intensity
27.27  3.270  30
29.78  3.000  13
30.99  2.886  12
33.67  2.662  18
37.39  2.405  18
38.57  2.334  100
39.32  2.291  93
50.88  1.795  9
56.26  1.635  25
70.79  1.331  26
71.29  1.323  11
78.30  1.221  25

Structural model:
```
data_Tl9Pd13
_space_group_name_H-M_alt 'P -3 m 1'
_space_group_IT_number 164
_space_group_name_Hall '-P 3 2"'
_cell_length_a 9.1659
_cell_length_b 9.1659
_cell_length_c 5.7719
_cell_angle_alpha 90.00
_cell_angle_beta 90.00
_cell_angle_gamma 120.00
loop_
_atom_site_label
_atom_site_type_symbol
_atom_site_fract_x
_atom_site_fract_y
_atom_site_fract_z
Tl1 Tl 0.0000 0.0000 0.0000
Tl2 Tl 0.1927 0.3854 0.7466
Tl3 Tl 0.3333 0.6667 0.2495
Pd1 Pd 0.0000 0.0000 0.5000
Pd2 Pd 0.0000 0.5000 0.0000
Pd3 Pd 0.0000 0.5000 0.5000
Pd4 Pd 0.1596 0.3192 0.2531
```

***

This entry pairs a crystal structure of YTlPd with its theoretical X-ray diffraction stick pattern. Radiation: Cu Kα X-rays. Structure: a DFT-relaxed cell (PBE, the Materials Project).
Peak positions follow from Bragg's law for the DFT cell and can differ from measured ones.

Largest 12 diffraction maxima, by angle, 2θ = 10–90°:
Position (°2θ)  d_spacing  intensity
22.53  3.947  19
23.46  3.792  18
32.75  2.735  100
34.72  2.584  52
35.35  2.539  63
39.55  2.279  48
42.33  2.135  43
47.98  1.896  28
60.57  1.529  21
63.86  1.458  23
64.27  1.449  37
82.60  1.168  16

Structural model:
```
data_YTlPd
_space_group_name_H-M_alt 'P -6 2 m'
_space_group_IT_number 189
_space_group_name_Hall 'P -6 -2'
_cell_length_a 7.8935
_cell_length_b 7.8935
_cell_length_c 3.7925
_cell_angle_alpha 90.00
_cell_angle_beta 90.00
_cell_angle_gamma 120.00
loop_
_atom_site_label
_atom_site_type_symbol
_atom_site_fract_x
_atom_site_fract_y
_atom_site_fract_z
Y1 Y 0.0000 0.5989 0.0000
Tl1 Tl 0.0000 0.2679 0.5000
Pd1 Pd 0.0000 0.0000 0.0000
Pd2 Pd 0.3333 0.6667 0.5000
```

***

This entry pairs a crystal structure of TmPd3 with its theoretical X-ray diffraction stick pattern. Radiation: Cu Kα X-rays. Structure: a DFT-relaxed cell (PBE, the Materials Project).
Peak positions follow from Bragg's law for the DFT cell and can differ from measured ones.

Largest 12 diffraction maxima, by angle, 2θ = 10–90°:
Position (°2θ)  d_spacing  intensity
21.67  4.100  4
30.84  2.899  4
38.01  2.367  100
44.18  2.050  49
49.72  1.834  2
54.85  1.674  2
64.26  1.450  32
68.68  1.367  1
72.97  1.297  1
77.16  1.236  37
81.28  1.184  11
89.42  1.096  1

Structural model:
```
data_TmPd3
_space_group_name_H-M_alt 'P m -3 m'
_space_group_IT_number 221
_space_group_name_Hall '-P 4 2 3'
_cell_length_a 4.100
_cell_length_b 4.100
_cell_length_c 4.100
_cell_angle_alpha 90.00
_cell_angle_beta 90.00
_cell_angle_gamma 90.00
loop_
_atom_site_label
_atom_site_type_symbol
_atom_site_fract_x
_atom_site_fract_y
_atom_site_fract_z
Tm1 Tm 0.000 0.000 0.000
Pd1 Pd 0.000 0.500 0.500
```